(1)
Simulated PXRD pattern of Rb2CuAuI6 for λ = 1.5418 Å (Cu Kα), from a structure optimized by DFT (PBE).
Intensities are scaled so that the largest is 100.

Crystal structure
```
data_Rb2CuAuI6
_cell_length_a 8.286
_cell_length_b 8.286
_cell_length_c 12.129
_cell_angle_alpha 90.00
_cell_angle_beta 90.00
_cell_angle_gamma 90.00
_symmetry_space_group_name_H-M 'I 4/m m m'
_symmetry_Int_Tables_number 139
_symmetry_space_group_name_Hall '-I 4 2'
loop_
_atom_site_label
_atom_site_type_symbol
_atom_site_fract_x
_atom_site_fract_y
_atom_site_fract_z
_atom_site_occupancy
Rb1 Rb 0.000 0.500 0.250 1
Cu1 Cu 0.000 0.000 0.000 1
Au1 Au 0.000 0.000 0.500 1
I1 I 0.000 0.000 0.204 1
I2 I 0.231 0.231 0.500 1
```

Main lines, by intensity (15° ≤ 2θ ≤ 90°):
- 2θ = 30.51°, intensity 100
- 2θ = 26.05°, intensity 82
- 2θ = 42.93°, intensity 59
- 2θ = 15.12°, intensity 48
- 2θ = 29.46°, intensity 44
- 2θ = 24.50°, intensity 36
- 2θ = 43.70°, intensity 35
- 2θ = 53.58°, intensity 29
- 2θ = 45.39°, intensity 23
- 2θ = 21.08°, intensity 20

***

(2)
Simulated PXRD pattern of Tl2CuAu2I6 for λ = 1.5418 Å (Cu Kα), from a structure optimized by DFT (PBE).
Intensities are scaled so that the largest is 100.

Crystal structure
```
data_Tl2CuAu2I6
_cell_length_a 15.352
_cell_length_b 7.742
_cell_length_c 7.926
_cell_angle_alpha 90.00
_cell_angle_beta 117.66
_cell_angle_gamma 90.00
_symmetry_space_group_name_H-M 'C 1 2/m 1'
_symmetry_Int_Tables_number 12
loop_
_symmetry_equiv_pos_as_xyz
'x,y,z'
'-x,-y,-z'
'-x,y,-z'
'x,-y,z'
'x+1/2,y+1/2,z'
'-x+1/2,-y+1/2,-z'
'-x+1/2,y+1/2,-z'
'x+1/2,-y+1/2,z'
loop_
_atom_site_label
_atom_site_type_symbol
_atom_site_fract_x
_atom_site_fract_y
_atom_site_fract_z
_atom_site_occupancy
Tl1 Tl 0.245 0.000 0.216 1
Cu1 Cu 0.000 0.500 0.000 1
Au1 Au 0.063 0.000 0.397 1
I1 I 0.059 0.264 0.829 1
I2 I 0.249 0.500 0.339 1
```

Main lines, by intensity (15° ≤ 2θ ≤ 90°):
- 2θ = 26.48°, intensity 100
- 2θ = 20.27°, intensity 86
- 2θ = 26.73°, intensity 81
- 2θ = 26.25°, intensity 62
- 2θ = 32.36°, intensity 45
- 2θ = 32.03°, intensity 39
- 2θ = 42.73°, intensity 35
- 2θ = 41.64°, intensity 30
- 2θ = 46.94°, intensity 29
- 2θ = 22.97°, intensity 29

***

(3)
Simulated PXRD pattern of InCu6Au6 for λ = 1.5418 Å (Cu Kα), from a structure optimized by DFT (PBE).
Intensities are scaled so that the largest is 100.

Crystal structure
```
data_InCu6Au6
_cell_length_a 5.137
_cell_length_b 8.922
_cell_length_c 9.063
_cell_angle_alpha 90.00
_cell_angle_beta 90.00
_cell_angle_gamma 90.00
_symmetry_space_group_name_H-M 'C m m m'
_symmetry_Int_Tables_number 65
_symmetry_space_group_name_Hall '-C 2 2'
loop_
_atom_site_label
_atom_site_type_symbol
_atom_site_fract_x
_atom_site_fract_y
_atom_site_fract_z
_atom_site_occupancy
In1 In 0.000 0.000 0.000 1
Cu1 Cu 0.000 0.500 0.251 1
Cu2 Cu 0.250 0.250 0.251 1
Au1 Au 0.000 0.000 0.337 1
Au2 Au 0.000 0.333 0.000 1
Au3 Au 0.000 0.334 0.500 1
```

Main lines, by intensity (15° ≤ 2θ ≤ 90°):
- 2θ = 34.88°, intensity 100
- 2θ = 40.32°, intensity 74
- 2θ = 45.37°, intensity 54
- 2θ = 72.58°, intensity 37
- 2θ = 35.92°, intensity 35
- 2θ = 44.88°, intensity 31
- 2θ = 28.09°, intensity 26
- 2θ = 39.78°, intensity 21
- 2θ = 46.36°, intensity 17
- 2θ = 73.60°, intensity 16

***

(4)
Simulated PXRD pattern of MgIn2Cu2Au5 for λ = 1.5418 Å (Cu Kα), from a structure optimized by DFT (PBE).
Intensities are scaled so that the largest is 100.

Crystal structure
```
data_MgIn2Cu2Au5
_cell_length_a 9.500
_cell_length_b 9.500
_cell_length_c 4.077
_cell_angle_alpha 90.00
_cell_angle_beta 90.00
_cell_angle_gamma 90.00
_symmetry_space_group_name_H-M 'P 4/m b m'
_symmetry_Int_Tables_number 127
_symmetry_space_group_name_Hall '-P 4 2ab'
loop_
_atom_site_label
_atom_site_type_symbol
_atom_site_fract_x
_atom_site_fract_y
_atom_site_fract_z
_atom_site_occupancy
Mg1 Mg 0.000 0.000 0.000 1
In1 In 0.168 0.332 0.000 1
Cu1 Cu 0.125 0.625 0.000 1
Au1 Au 0.000 0.500 0.500 1
Au2 Au 0.094 0.810 0.500 1
```

Main lines, by intensity (15° ≤ 2θ ≤ 90°):
- 2θ = 37.18°, intensity 100
- 2θ = 40.78°, intensity 40
- 2θ = 39.10°, intensity 35
- 2θ = 21.80°, intensity 30
- 2θ = 44.44°, intensity 27
- 2θ = 30.39°, intensity 22
- 2θ = 60.65°, intensity 19
- 2θ = 29.74°, intensity 16
- 2θ = 42.56°, intensity 16
- 2θ = 76.68°, intensity 15

***

(5)
Simulated PXRD pattern of In2CuSb2Au7 for λ = 1.5418 Å (Cu Kα), from a structure optimized by DFT (PBE).
Intensities are scaled so that the largest is 100.

Crystal structure
```
data_In2CuSb2Au7
_cell_length_a 5.855
_cell_length_b 5.719
_cell_length_c 16.085
_cell_angle_alpha 90.00
_cell_angle_beta 95.73
_cell_angle_gamma 90.00
_symmetry_space_group_name_H-M 'C 1 2/m 1'
_symmetry_Int_Tables_number 12
loop_
_symmetry_equiv_pos_as_xyz
'x,y,z'
'-x,-y,-z'
'-x,y,-z'
'x,-y,z'
'x+1/2,y+1/2,z'
'-x+1/2,-y+1/2,-z'
'-x+1/2,y+1/2,-z'
'x+1/2,-y+1/2,z'
loop_
_atom_site_label
_atom_site_type_symbol
_atom_site_fract_x
_atom_site_fract_y
_atom_site_fract_z
_atom_site_occupancy
In1 In 0.065 0.000 0.253 1
Cu1 Cu 0.000 0.500 0.000 1
Sb1 Sb 0.113 0.500 0.418 1
Au1 Au 0.000 0.000 0.000 1
Au2 Au 0.111 0.000 0.421 1
Au3 Au 0.218 0.250 0.872 1
```

Main lines, by intensity (15° ≤ 2θ ≤ 90°):
- 2θ = 44.37°, intensity 100
- 2θ = 31.79°, intensity 63
- 2θ = 42.39°, intensity 52
- 2θ = 40.06°, intensity 52
- 2θ = 39.70°, intensity 49
- 2θ = 39.41°, intensity 47
- 2θ = 38.71°, intensity 44
- 2θ = 33.56°, intensity 43
- 2θ = 21.78°, intensity 38
- 2θ = 35.62°, intensity 36

***

(6)
Simulated PXRD pattern of SrInCuAu3 for λ = 1.5418 Å (Cu Kα), from a structure optimized by DFT (PBE).
Intensities are scaled so that the largest is 100.

Crystal structure
```
data_SrInCuAu3
_cell_length_a 6.029
_cell_length_b 12.291
_cell_length_c 7.695
_cell_angle_alpha 90.00
_cell_angle_beta 90.00
_cell_angle_gamma 90.00
_symmetry_space_group_name_H-M 'C m c m'
_symmetry_Int_Tables_number 63
_symmetry_space_group_name_Hall '-C 2c 2'
loop_
_atom_site_label
_atom_site_type_symbol
_atom_site_fract_x
_atom_site_fract_y
_atom_site_fract_z
_atom_site_occupancy
Sr1 Sr 0.000 0.192 0.250 1
In1 In 0.000 0.123 0.750 1
Cu1 Cu 0.000 0.439 0.250 1
Au1 Au 0.000 0.345 0.750 1
Au2 Au 0.245 0.000 0.000 1
```

Main lines, by intensity (15° ≤ 2θ ≤ 90°):
- 2θ = 37.92°, intensity 100
- 2θ = 27.35°, intensity 71
- 2θ = 37.46°, intensity 57
- 2θ = 33.10°, intensity 44
- 2θ = 41.99°, intensity 41
- 2θ = 47.26°, intensity 29
- 2θ = 20.06°, intensity 24
- 2θ = 59.63°, intensity 23
- 2θ = 65.03°, intensity 23
- 2θ = 40.76°, intensity 21

***

(7)
Simulated PXRD pattern of InCuTe4Au2 for λ = 1.5418 Å (Cu Kα), from a structure optimized by DFT (PBE).
Intensities are scaled so that the largest is 100.

Crystal structure
```
data_InCuTe4Au2
_cell_length_a 8.790
_cell_length_b 8.791
_cell_length_c 12.859
_cell_angle_alpha 90.00
_cell_angle_beta 90.00
_cell_angle_gamma 90.00
_symmetry_space_group_name_H-M 'F m m 2'
_symmetry_Int_Tables_number 42
_symmetry_space_group_name_Hall 'F 2 -2'
loop_
_atom_site_label
_atom_site_type_symbol
_atom_site_fract_x
_atom_site_fract_y
_atom_site_fract_z
_atom_site_occupancy
In1 In 0.000 0.000 0.000 1
Cu1 Cu 0.000 0.000 0.500 1
Te1 Te 0.000 0.230 0.376 1
Te2 Te 0.230 0.000 0.623 1
Au1 Au 0.250 0.250 0.250 1
```

Main lines, by intensity (15° ≤ 2θ ≤ 90°):
- 2θ = 24.53°, intensity 100
- 2θ = 40.37°, intensity 53
- 2θ = 48.42°, intensity 30
- 2θ = 41.07°, intensity 24
- 2θ = 47.18°, intensity 17
- 2θ = 74.35°, intensity 15
- 2θ = 64.31°, intensity 13
- 2θ = 72.91°, intensity 9
- 2θ = 59.48°, intensity 8
- 2θ = 80.13°, intensity 6

***

(8)
Simulated PXRD pattern of In2CuTe4Au for λ = 1.5418 Å (Cu Kα), from a structure optimized by DFT (PBE).
Intensities are scaled so that the largest is 100.

Crystal structure
```
data_In2CuTe4Au
_cell_length_a 9.083
_cell_length_b 9.084
_cell_length_c 12.735
_cell_angle_alpha 90.00
_cell_angle_beta 90.00
_cell_angle_gamma 90.00
_symmetry_space_group_name_H-M 'F m m 2'
_symmetry_Int_Tables_number 42
_symmetry_space_group_name_Hall 'F 2 -2'
loop_
_atom_site_label
_atom_site_type_symbol
_atom_site_fract_x
_atom_site_fract_y
_atom_site_fract_z
_atom_site_occupancy
In1 In 0.250 0.250 0.000 1
Cu1 Cu 0.000 0.000 0.250 1
Te1 Te 0.000 0.239 0.362 1
Te2 Te 0.239 0.000 0.138 1
Au1 Au 0.000 0.000 0.750 1
```

Main lines, by intensity (15° ≤ 2θ ≤ 90°):
- 2θ = 24.07°, intensity 100
- 2θ = 39.87°, intensity 51
- 2θ = 46.95°, intensity 32
- 2θ = 39.69°, intensity 27
- 2θ = 72.15°, intensity 17
- 2θ = 47.27°, intensity 15
- 2θ = 63.38°, intensity 12
- 2θ = 57.38°, intensity 9
- 2θ = 72.51°, intensity 7
- 2θ = 77.20°, intensity 7

***

(9)
Simulated PXRD pattern of KCuAu for λ = 1.5418 Å (Cu Kα), from a structure optimized by DFT (PBE).
Intensities are scaled so that the largest is 100.

Crystal structure
```
data_KCuAu
_cell_length_a 4.713
_cell_length_b 4.713
_cell_length_c 7.039
_cell_angle_alpha 90.00
_cell_angle_beta 90.00
_cell_angle_gamma 90.00
_symmetry_space_group_name_H-M 'P 4/n m m'
_symmetry_Int_Tables_number 129
loop_
_symmetry_equiv_pos_as_xyz
'x,y,z'
'-x,-y,-z'
'-y+1/2,x,z'
'y+1/2,-x,-z'
'-x+1/2,-y+1/2,z'
'x+1/2,y+1/2,-z'
'y,-x+1/2,z'
'-y,x+1/2,-z'
'x+1/2,-y,-z'
'-x+1/2,y,z'
'-y,-x,-z'
'y,x,z'
'-x,y+1/2,-z'
'x,-y+1/2,z'
'y+1/2,x+1/2,-z'
'-y+1/2,-x+1/2,z'
loop_
_atom_site_label
_atom_site_type_symbol
_atom_site_fract_x
_atom_site_fract_y
_atom_site_fract_z
_atom_site_occupancy
K1 K 0.250 0.250 0.161 1
Cu1 Cu 0.250 0.750 0.500 1
Au1 Au 0.250 0.250 0.658 1
```

Main lines, by intensity (15° ≤ 2θ ≤ 90°):
- 2θ = 31.73°, intensity 100
- 2θ = 22.71°, intensity 79
- 2θ = 38.19°, intensity 60
- 2θ = 50.47°, intensity 54
- 2θ = 26.75°, intensity 46
- 2θ = 37.15°, intensity 38
- 2θ = 47.38°, intensity 35
- 2θ = 44.89°, intensity 29
- 2θ = 40.36°, intensity 27
- 2θ = 55.12°, intensity 20

***

(10)
Simulated PXRD pattern of La2Cu15Au2 for λ = 1.5418 Å (Cu Kα), from a structure optimized by DFT (PBE).
Intensities are scaled so that the largest is 100.

Crystal structure
```
data_La2Cu15Au2
_cell_length_a 8.8216
_cell_length_b 8.8216
_cell_length_c 12.8021
_cell_angle_alpha 90.00
_cell_angle_beta 90.00
_cell_angle_gamma 120.00
_symmetry_space_group_name_H-M 'R -3 m'
_symmetry_Int_Tables_number 166
_symmetry_space_group_name_Hall '-R 3 2"'
loop_
_atom_site_label
_atom_site_type_symbol
_atom_site_fract_x
_atom_site_fract_y
_atom_site_fract_z
_atom_site_occupancy
La1 La 0.0000 0.0000 0.1544 1
Cu1 Cu 0.0000 0.2961 0.5000 1
Cu2 Cu 0.0000 0.5000 0.0000 1
Cu3 Cu 0.0021 0.5010 0.6555 1
Au1 Au 0.0000 0.0000 0.3934 1
```

Main lines, by intensity (15° ≤ 2θ ≤ 90°):
- 2θ = 40.92°, intensity 100
- 2θ = 35.24°, intensity 80
- 2θ = 41.28°, intensity 66
- 2θ = 36.63°, intensity 60
- 2θ = 46.34°, intensity 52
- 2θ = 42.15°, intensity 50
- 2θ = 30.28°, intensity 39
- 2θ = 20.13°, intensity 33
- 2θ = 42.50°, intensity 31
- 2θ = 76.75°, intensity 30

***

(11)
Simulated PXRD pattern of La4Cu2Au for λ = 1.5418 Å (Cu Kα), from a structure optimized by DFT (PBE).
Intensities are scaled so that the largest is 100.

Crystal structure
```
data_La4Cu2Au
_cell_length_a 5.1837
_cell_length_b 5.1837
_cell_length_c 25.4511
_cell_angle_alpha 90.00
_cell_angle_beta 90.00
_cell_angle_gamma 120.00
_symmetry_space_group_name_H-M 'R -3 m'
_symmetry_Int_Tables_number 166
_symmetry_space_group_name_Hall '-R 3 2"'
loop_
_atom_site_label
_atom_site_type_symbol
_atom_site_fract_x
_atom_site_fract_y
_atom_site_fract_z
_atom_site_occupancy
La1 La 0.0000 0.0000 0.1216 1
La2 La 0.0000 0.0000 0.3730 1
Cu1 Cu 0.0000 0.0000 0.2536 1
Au1 Au 0.0000 0.0000 0.5000 1
```

Main lines, by intensity (15° ≤ 2θ ≤ 90°):
- 2θ = 34.58°, intensity 100
- 2θ = 62.00°, intensity 27
- 2θ = 49.71°, intensity 18
- 2θ = 83.31°, intensity 15
- 2θ = 20.09°, intensity 9
- 2θ = 61.88°, intensity 9
- 2θ = 26.47°, intensity 8
- 2θ = 24.26°, intensity 7
- 2θ = 73.01°, intensity 6
- 2θ = 72.88°, intensity 5

***

(12)
Simulated PXRD pattern of La2Cu5Au12 for λ = 1.5418 Å (Cu Kα), from a structure optimized by DFT (PBE).
Intensities are scaled so that the largest is 100.

Crystal structure
```
data_La2Cu5Au12
_cell_length_a 9.3490
_cell_length_b 9.3490
_cell_length_c 14.1288
_cell_angle_alpha 90.00
_cell_angle_beta 90.00
_cell_angle_gamma 120.00
_symmetry_space_group_name_H-M 'R -3 m'
_symmetry_Int_Tables_number 166
_symmetry_space_group_name_Hall '-R 3 2"'
loop_
_atom_site_label
_atom_site_type_symbol
_atom_site_fract_x
_atom_site_fract_y
_atom_site_fract_z
_atom_site_occupancy
La1 La 0.0000 0.0000 0.1589 1
Cu1 Cu 0.0000 0.0000 0.4059 1
Cu2 Cu 0.0000 0.5000 0.0000 1
Au1 Au 0.0000 0.3014 0.5000 1
Au2 Au 0.0198 0.5099 0.3467 1
```

Main lines, by intensity (15° ≤ 2θ ≤ 90°):
- 2θ = 38.46°, intensity 100
- 2θ = 43.21°, intensity 47
- 2θ = 38.22°, intensity 29
- 2θ = 18.99°, intensity 27
- 2θ = 33.67°, intensity 26
- 2θ = 33.20°, intensity 19
- 2θ = 69.24°, intensity 14
- 2θ = 43.01°, intensity 13
- 2θ = 69.68°, intensity 12
- 2θ = 62.82°, intensity 12